MgCrCo3O8: computed X-ray powder pattern (λ = 1.5418 Å (Cu Kα)), based on a cell relaxed with PBE+U.
Intensities are scaled so that the largest is 100.

Crystal structure
Cell: 5.797 5.797 5.859 Å, 119.71 119.71 59.52°
Fractional coordinates of all 13 atoms:
Mg 0.000 0.000 0.000
Cr 0.500 0.500 0.500
Co 0.000 0.500 0.500
Co 0.500 0.000 0.500
Co 0.500 0.500 0.000
O 0.245 0.245 0.698
O 0.249 0.710 0.743
O 0.255 0.255 0.286
O 0.290 0.751 0.257
O 0.710 0.249 0.743
O 0.745 0.745 0.714
O 0.751 0.290 0.257
O 0.755 0.755 0.302

Largest 10 diffraction maxima, by angle, 2θ = 5–70°:
18.44 deg, intensity 37
18.69 deg, intensity 100
18.79 deg, intensity 55
36.19 deg, intensity 20
36.38 deg, intensity 20
38.11 deg, intensity 17
43.83 deg, intensity 42
44.12 deg, intensity 82
63.57 deg, intensity 33
64.28 deg, intensity 21

LiFe3SiPO8: computed X-ray powder pattern (λ = 1.5418 Å (Cu Kα)), based on a cell relaxed with PBE+U.
Intensities are scaled so that the largest is 100.

Crystal structure
Cell: 4.832 6.132 10.570 Å, 90.00 90.07 90.00°
Fractional coordinates of all 28 atoms:
Li 0.000 0.000 0.000
Li 0.000 0.500 0.000
Fe 0.022 0.250 0.723
Fe 0.492 0.250 0.215
Fe 0.500 0.000 0.500
Fe 0.500 0.500 0.500
Fe 0.508 0.750 0.785
Fe 0.978 0.750 0.277
Si 0.071 0.750 0.597
Si 0.929 0.250 0.403
P 0.423 0.750 0.096
P 0.577 0.250 0.904
O 0.208 0.750 0.453
O 0.214 0.537 0.667
O 0.214 0.963 0.667
O 0.257 0.250 0.905
O 0.268 0.250 0.405
O 0.295 0.548 0.166
O 0.295 0.952 0.166
O 0.296 0.750 0.960
O 0.704 0.250 0.040
O 0.705 0.048 0.834
O 0.705 0.452 0.834
O 0.732 0.750 0.595
O 0.743 0.750 0.095
O 0.786 0.037 0.333
O 0.786 0.463 0.333
O 0.792 0.250 0.547

Largest 10 diffraction maxima, by angle, 2θ = 5–70°:
8.36 deg, intensity 72
24.94 deg, intensity 100
29.12 deg, intensity 27
31.42 deg, intensity 67
34.72 deg, intensity 48
34.76 deg, intensity 45
35.71 deg, intensity 69
51.15 deg, intensity 69
60.38 deg, intensity 21
60.62 deg, intensity 22

Ge2W9O27: computed X-ray powder pattern (λ = 1.5418 Å (Cu Kα)), based on a cell relaxed with PBE+U.
Intensities are scaled so that the largest is 100.

Crystal structure
Cell: 7.597 7.597 11.590 Å, 90.03 90.03 120.00°
Fractional coordinates of all 38 atoms:
Ge 0.103 0.103 0.340
Ge 0.897 0.897 0.660
W 0.000 0.500 0.000
W 0.006 0.492 0.667
W 0.492 0.006 0.667
W 0.495 0.495 0.667
W 0.500 0.000 0.000
W 0.500 0.500 0.000
W 0.505 0.505 0.333
W 0.508 0.994 0.333
W 0.994 0.508 0.333
O 0.000 0.500 0.500
O 0.003 0.499 0.169
O 0.187 0.382 0.336
O 0.203 0.415 0.665
O 0.215 0.430 0.999
O 0.215 0.785 0.000
O 0.217 0.781 0.334
O 0.219 0.783 0.666
O 0.382 0.187 0.336
O 0.415 0.203 0.665
O 0.430 0.215 0.999
O 0.499 0.003 0.169
O 0.499 0.499 0.170
O 0.500 0.000 0.500
O 0.500 0.500 0.500
O 0.501 0.501 0.830
O 0.501 0.997 0.831
O 0.570 0.785 0.001
O 0.585 0.797 0.335
O 0.618 0.813 0.664
O 0.781 0.217 0.334
O 0.783 0.219 0.666
O 0.785 0.215 0.000
O 0.785 0.570 0.001
O 0.797 0.585 0.335
O 0.813 0.618 0.664
O 0.997 0.501 0.831

Largest 10 diffraction maxima, by angle, 2θ = 5–70°:
13.46 deg, intensity 43
23.02 deg, intensity 63
23.42 deg, intensity 14
27.11 deg, intensity 100
35.85 deg, intensity 66
47.89 deg, intensity 24
53.78 deg, intensity 25
55.14 deg, intensity 28
61.25 deg, intensity 16
69.39 deg, intensity 15